Entry 1:
Diffraction record for Sr3NdTaAl3O12. The X-ray powder pattern is computed, not measured: it uses the PBE geometry in Alexandria and Cu Kα.
Intensities are scaled so that the largest is 100.

Principal peaks in the range 2θ from 15° to 90°, sorted by position:
| 2θ (°) | I_rel |
| --- | --- |
| 25.02 | 22 |
| 25.71 | 16 |
| 32.64 | 100 |
| 32.79 | 22 |
| 46.97 | 29 |
| 58.29 | 15 |
| 58.43 | 16 |
| 68.36 | 15 |

```
Sr3NdTaAl3O12
1.0
5.463 0.000 0.000
-0.004 9.522 0.000
-0.005 -3.213 8.964
Sr Nd Ta Al O
6 2 2 6 24
Cartesian
0.000 0.000 0.000
-0.003 -0.016 6.713
2.721 4.806 6.921
2.726 -1.432 4.610
2.733 1.454 2.347
2.729 1.702 8.874
0.004 3.033 4.777
0.007 6.670 2.217
2.729 4.850 3.495
5.445 3.194 1.143
-0.001 0.034 3.468
-0.005 3.238 7.916
0.025 6.404 5.702
2.732 1.578 5.708
2.731 8.038 1.161
2.742 -1.589 7.874
-0.001 1.646 2.385
5.455 4.758 6.734
0.001 -1.589 4.503
0.006 4.889 0.110
1.001 4.204 2.589
1.275 -2.281 6.894
1.320 -0.791 2.304
1.316 2.421 6.745
1.359 0.871 4.553
1.359 7.193 0.102
1.530 2.522 0.188
1.533 5.726 4.743
2.714 6.435 2.299
2.727 3.192 4.587
2.739 0.073 0.070
2.731 0.024 6.803
3.765 3.871 2.101
4.014 7.093 6.682
4.103 -0.770 2.338
4.100 2.440 6.782
4.146 0.901 4.583
4.147 7.206 0.146
4.206 -0.876 8.883
4.368 5.470 4.367
```



Entry 2:
Diffraction record for Sr3NdTaAl3O12. The X-ray powder pattern is computed, not measured: it uses the PBE geometry in Alexandria and Cu Kα.
Intensities are scaled so that the largest is 100.

Principal peaks in the range 2θ from 15° to 90°, sorted by position:
| 2θ (°) | I_rel |
| --- | --- |
| 16.18 | 14 |
| 25.01 | 20 |
| 32.62 | 100 |
| 32.80 | 20 |
| 46.71 | 14 |
| 46.92 | 28 |
| 58.17 | 27 |
| 58.45 | 16 |

```
Sr3NdTaAl3O12
1.0
7.779 -5.494 0.000
7.779 5.494 0.000
-0.009 0.000 5.461
Sr Nd Ta Al O
6 2 2 6 24
Cartesian
0.000 0.000 0.000
3.714 2.595 2.731
3.871 -0.146 0.006
11.836 2.595 2.729
11.679 -0.146 5.454
7.775 -2.941 2.730
7.775 2.588 2.730
7.779 -0.372 0.000
5.757 2.581 0.006
9.793 2.581 5.454
1.924 -0.100 2.741
5.815 -0.198 2.740
5.880 -2.904 5.458
9.735 -0.198 2.720
13.626 -0.100 2.719
9.670 -2.904 0.003
11.590 -2.794 5.458
7.775 5.380 2.730
1.965 1.259 4.087
1.975 1.195 1.336
5.976 4.008 1.348
5.973 3.889 3.993
9.574 4.008 4.113
5.767 1.272 1.489
9.577 3.889 1.467
5.769 1.125 4.142
3.861 -0.263 2.734
7.779 2.342 0.000
7.775 0.079 2.730
3.960 -2.794 0.003
9.783 1.272 3.971
5.959 -1.448 1.306
5.957 -1.532 4.091
9.781 1.125 1.319
9.591 -1.448 4.155
9.593 -1.532 1.370
13.585 1.259 1.374
7.779 -2.902 0.000
13.575 1.195 4.124
11.689 -0.263 2.727
```



Entry 3:
Diffraction record for Nd12AlTl4O3. The X-ray powder pattern is computed, not measured: it uses the PBE geometry in Alexandria and Cu Kα.
Intensities are scaled so that the largest is 100.

Principal peaks in the range 2θ from 15° to 90°, sorted by position:
| 2θ (°) | I_rel |
| --- | --- |
| 30.00 | 100 |
| 34.78 | 57 |
| 50.01 | 40 |
| 59.43 | 42 |
| 62.36 | 13 |
| 73.42 | 6 |
| 81.30 | 17 |
| 83.88 | 17 |

```
Nd12AlTl4O3
1.0
-5.158 5.158 5.158
5.158 -5.158 5.158
5.158 5.158 -5.158
Nd Al Tl O
12 1 4 3
Cartesian
2.761 0.000 0.000
7.556 0.000 0.000
5.158 2.579 0.000
5.158 0.000 2.579
0.000 2.761 0.000
0.000 0.000 2.761
2.579 5.158 0.000
2.579 0.000 5.158
0.000 7.556 0.000
0.000 0.000 7.556
0.000 5.158 2.579
0.000 2.579 5.158
0.000 0.000 0.000
2.579 2.579 -2.579
2.579 -2.579 2.579
-2.579 2.579 2.579
2.579 2.579 2.579
5.158 0.000 0.000
0.000 5.158 0.000
0.000 0.000 5.158
```